Record 1
Rb12LiCl4O4: calculated powder diffractogram (Cu Kα), based on a cell relaxed with GGA-PBE.
Lines closer than 0.1° are merged.

The 10 most intense peaks (2θ from 10° to 80°), low angle first:
Position (°2θ)  Rel. int.
23.12  24
25.58  23
26.83  71
27.91  100
28.18  48
28.72  47
29.16  22
30.35  52
34.02  27
42.36  21

Structure:
```
data_Rb12LiCl4O4
_cell_length_a 7.7585
_cell_length_b 10.5439
_cell_length_c 8.6323
_cell_angle_alpha 90.00
_cell_angle_beta 97.32
_cell_angle_gamma 90.00
_symmetry_space_group_name_H-M 'P 1'
_symmetry_Int_Tables_number 1
loop_
_symmetry_equiv_pos_as_xyz
'x,y,z'
loop_
_atom_site_label
_atom_site_fract_x
_atom_site_fract_y
_atom_site_fract_z
Rb1 0.0000 0.0000 0.0000
Rb2 0.0573 0.3041 0.7371
Rb3 0.0573 0.6959 0.7371
Rb4 0.1000 0.2873 0.2785
Rb5 0.1000 0.7127 0.2785
Rb6 0.2119 0.0000 0.5153
Rb7 0.4362 0.5000 0.6047
Rb8 0.5446 0.1900 0.8779
Rb9 0.5446 0.8100 0.8779
Rb10 0.6094 0.2128 0.4033
Rb11 0.6094 0.7872 0.4033
Rb12 0.7101 0.5000 0.1022
Li1 0.7284 0.0000 0.1742
Cl1 0.2810 0.5000 0.0202
Cl2 0.3846 0.0000 0.1702
Cl3 0.8123 0.0000 0.6493
Cl4 0.8446 0.5000 0.4682
O1 0.3154 0.2504 0.5794
O2 0.3154 0.7496 0.5794
O3 0.7989 0.1677 0.1412
O4 0.7989 0.8323 0.1412
```

---

Record 2
Rb12LiCl4O4: calculated powder diffractogram (Cu Kα), based on a cell relaxed with GGA-PBE.
Lines closer than 0.1° are merged.

The 10 most intense peaks (2θ from 10° to 80°), low angle first:
Position (°2θ)  Rel. int.
25.02  35
25.25  15
25.64  15
26.05  79
27.40  100
29.27  35
31.51  39
31.98  18
32.25  45
34.78  20

Structure:
```
data_Rb12LiCl4O4
_cell_length_a 7.8835
_cell_length_b 7.9423
_cell_length_c 11.4425
_cell_angle_alpha 89.85
_cell_angle_beta 82.96
_cell_angle_gamma 89.49
_symmetry_space_group_name_H-M 'P 1'
_symmetry_Int_Tables_number 1
loop_
_symmetry_equiv_pos_as_xyz
'x,y,z'
loop_
_atom_site_label
_atom_site_fract_x
_atom_site_fract_y
_atom_site_fract_z
Rb1 0.0000 0.0000 0.0000
Rb2 0.0021 0.4797 0.5359
Rb3 0.0588 0.9696 0.5662
Rb4 0.2257 0.6262 0.8258
Rb5 0.4021 0.3797 0.1046
Rb6 0.4342 0.7493 0.3698
Rb7 0.4851 0.3830 0.5736
Rb8 0.4994 0.9256 0.0343
Rb9 0.5684 0.9178 0.6519
Rb10 0.7383 0.2880 0.8219
Rb11 0.7834 0.1495 0.3175
Rb12 0.9009 0.5007 0.0877
Li1 0.1262 0.7817 0.2032
Cl1 0.2025 0.0602 0.2601
Cl2 0.3107 0.1979 0.8325
Cl3 0.7989 0.7106 0.8369
Cl4 0.8626 0.7284 0.3337
O1 0.2193 0.6853 0.0705
O2 0.3128 0.6976 0.5872
O3 0.7286 0.2037 0.0650
O4 0.7854 0.2034 0.5783
```

---

Record 3
LiS2ClO: calculated powder diffractogram (Cu Kα), based on a cell relaxed with GGA-PBE.
Lines closer than 0.1° are merged.

The 10 most intense peaks (2θ from 10° to 80°), low angle first:
Position (°2θ)  Rel. int.
11.88  64
23.15  32
23.88  100
33.50  22
35.15  68
47.31  25
48.91  16
49.73  23
53.67  32
70.40  15

Structure:
```
data_LiS2ClO
_cell_length_a 3.8427
_cell_length_b 3.8427
_cell_length_c 7.4513
_cell_angle_alpha 90.00
_cell_angle_beta 90.00
_cell_angle_gamma 90.00
_symmetry_space_group_name_H-M 'P 1'
_symmetry_Int_Tables_number 1
loop_
_symmetry_equiv_pos_as_xyz
'x,y,z'
loop_
_atom_site_label
_atom_site_fract_x
_atom_site_fract_y
_atom_site_fract_z
Li1 0.0000 0.0000 0.0000
S1 0.0000 0.5000 0.5000
S2 0.5000 0.0000 0.5000
Cl1 0.5000 0.5000 0.0000
O1 0.5000 0.5000 0.5000
```

---

Record 4
LiSb3TeClO6: calculated powder diffractogram (Cu Kα), based on a cell relaxed with GGA-PBE.
Lines closer than 0.1° are merged.

The 10 most intense peaks (2θ from 10° to 80°), low angle first:
Position (°2θ)  Rel. int.
10.86  45
12.11  47
13.35  95
18.79  75
22.31  40
29.41  100
29.87  43
32.97  40
35.71  46
43.31  30

Structure:
```
data_LiSb3TeClO6
_cell_length_a 8.0161
_cell_length_b 8.0161
_cell_length_c 9.5077
_cell_angle_alpha 119.82
_cell_angle_beta 119.82
_cell_angle_gamma 30.21
_symmetry_space_group_name_H-M 'P 1'
_symmetry_Int_Tables_number 1
loop_
_symmetry_equiv_pos_as_xyz
'x,y,z'
loop_
_atom_site_label
_atom_site_fract_x
_atom_site_fract_y
_atom_site_fract_z
Li1 0.0000 0.0000 0.0000
Sb1 0.4758 0.4758 0.3596
Sb2 0.7982 0.7982 0.0756
Sb3 0.8010 0.8010 0.6965
Te1 0.4930 0.4930 0.7423
Cl1 0.1539 0.1539 0.7196
O1 0.3424 0.3424 0.1413
O2 0.3557 0.3557 0.7141
O3 0.4079 0.4079 0.4898
O4 0.8643 0.8643 0.9409
O5 0.9341 0.9341 0.2871
O6 0.9571 0.9571 0.7621
```